No. 1
This entry pairs a crystal structure of Sr3Li2Ag4 with its calculated powder XRD pattern. Radiation: copper Kα. Structure: a PBE-relaxed structure.
Intensities are scaled so that the largest is 100.

Atomic structure:
```
9
Lattice="5.8379 -2.3822 0.0000 5.8379 2.3822 0.0000 -3.0348 0.0000 8.7925" Properties=species:S:1:pos:R:3 pbc="T T T"
Sr 0.0000 0.0000 0.0000
Sr 3.3555 0.0000 2.6716
Sr 5.2855 0.0000 6.1208
Li 1.7791 0.0000 5.7486
Li 6.8620 0.0000 3.0438
Ag -0.2285 0.0000 3.6753
Ag 0.4222 0.0000 8.1953
Ag 8.2188 0.0000 0.5971
Ag 8.8695 0.0000 5.1172
```

Principal peaks in the range 2θ = 10–80°, most intense first:
Position (°2θ)  d (Å)  I/Imax
30.6  2.917  100.0
29.7  3.006  37.9
37.5  2.398  36.8
37.8  2.382  25.6
15.9  5.562  17.6
49.4  1.846  16.7
29.5  3.030  13.5
63.8  1.459  11.6
20.2  4.396  10.8
59.4  1.556  10.3
44.1  2.055  9.1
30.5  2.931  8.2


No. 2
This entry pairs a crystal structure of Zr4GeP2 with its calculated powder XRD pattern. Radiation: copper Kα. Structure: a PBE-relaxed structure.
Intensities are scaled so that the largest is 100.

Atomic structure:
```
14
Lattice="1.8789 -5.9894 0.0000 1.8789 5.9894 0.0000 0.0000 0.0000 12.4565" Properties=species:S:1:pos:R:3 pbc="T T T"
Zr 0.0000 0.0000 0.0000
Zr 0.0000 0.0000 6.2282
Zr 1.8789 2.7357 7.7364
Zr 1.8789 2.7357 10.9484
Zr 1.8789 0.7117 3.1141
Zr 1.8789 -0.7117 9.3424
Zr 1.8789 -2.7357 1.5081
Zr 1.8789 -2.7357 4.7201
Ge 1.8789 4.7345 3.1141
Ge 1.8789 -4.7345 9.3424
P 1.8789 1.6419 0.7689
P 1.8789 1.6419 5.4594
P 1.8789 -1.6419 6.9971
P 1.8789 -1.6419 11.6876
```

Principal peaks in the range 2θ = 10–80°, most intense first:
Position (°2θ)  d (Å)  I/Imax
33.5  2.673  100.0
32.4  2.763  88.0
35.8  2.505  43.1
33.0  2.714  40.7
44.3  2.046  31.4
59.5  1.554  29.4
48.4  1.879  27.7
50.8  1.798  23.0
50.2  1.817  21.7
59.3  1.557  19.3
28.7  3.108  18.2
62.2  1.492  15.6


No. 3
This entry pairs a crystal structure of Sm2Zn3Cu12Si with its calculated powder XRD pattern. Radiation: copper Kα. Structure: a PBE-relaxed structure.
Intensities are scaled so that the largest is 100.

Atomic structure:
```
18
Lattice="3.1090 1.7950 8.7270 -3.1090 1.7950 8.7270 0.0000 -3.5900 8.7270" Properties=species:S:1:pos:R:3 pbc="T T T"
Sm 0.0000 0.0000 3.9501
Sm 0.0000 0.0000 22.2307
Zn -1.5545 -0.8975 8.7270
Zn -1.5545 0.8975 17.4539
Zn 0.0000 1.7950 8.7269
Cu 0.0000 -2.1965 7.4242
Cu -1.9023 1.0983 7.4242
Cu -1.3337 -0.7700 11.2877
Cu -1.9023 -1.0983 18.7567
Cu 0.0000 -1.5400 14.8932
Cu -1.3337 0.7700 14.8932
Cu 1.3337 -0.7700 11.2876
Cu 0.0000 1.5400 11.2876
Cu 1.9023 1.0983 7.4242
Cu 1.3337 0.7700 14.8932
Cu 1.9023 -1.0983 18.7567
Cu 0.0000 2.1965 18.7567
Si 0.0000 0.0000 13.0904
```

Principal peaks in the range 2θ = 10–80°, most intense first:
Position (°2θ)  d (Å)  I/Imax
30.5  2.929  100.0
36.1  2.490  76.4
38.2  2.355  72.7
45.1  2.011  61.2
43.5  2.079  56.1
59.5  1.555  47.9
33.5  2.678  46.2
35.5  2.532  43.5
55.3  1.660  37.3
41.5  2.177  34.4
52.0  1.758  28.6
57.1  1.613  28.4